Entry 1:
# ErAu3
Computed PXRD pattern, a wavelength of 1.5418 Å. Input: the GGA-PBE geometry in Alexandria.
Peak positions follow from Bragg's law for the DFT cell and can differ from measured ones.

Principal peaks in the range 2θ from 10° to 90°, low angle first:
- 2θ = 33.68°, intensity 24
- 2θ = 35.96°, intensity 40
- 2θ = 38.32°, intensity 100
- 2θ = 39.54°, intensity 47
- 2θ = 50.09°, intensity 16
- 2θ = 61.98°, intensity 17
- 2θ = 66.20°, intensity 20
- 2θ = 71.38°, intensity 11
- 2θ = 73.68°, intensity 15
- 2θ = 73.78°, intensity 20

Atomic structure:
abc: 4.996 6.229 5.123
angles: 90.00 90.00 90.00
Fractional positions:
Er 0.250 0.250 0.159
Er 0.750 0.750 0.841
Au 0.250 0.504 0.666
Au 0.250 0.750 0.170
Au 0.250 0.996 0.666
Au 0.750 0.004 0.334
Au 0.750 0.250 0.830
Au 0.750 0.496 0.334

Entry 2:
# La13Zn2
Computed PXRD pattern, a wavelength of 1.5418 Å. Input: the GGA-PBE geometry in Alexandria.
Peak positions follow from Bragg's law for the DFT cell and can differ from measured ones.

Principal peaks in the range 2θ from 10° to 90°, low angle first:
- 2θ = 30.03°, intensity 43
- 2θ = 30.41°, intensity 44
- 2θ = 30.54°, intensity 100
- 2θ = 30.83°, intensity 12
- 2θ = 32.30°, intensity 45
- 2θ = 32.46°, intensity 41
- 2θ = 40.39°, intensity 14
- 2θ = 46.20°, intensity 13
- 2θ = 46.70°, intensity 15
- 2θ = 56.51°, intensity 14

Atomic structure:
abc: 6.625 8.734 9.731
angles: 68.85 77.99 81.75
Fractional positions:
La 0.000 0.000 0.000
La 0.050 0.423 0.699
La 0.207 0.173 0.239
La 0.248 0.596 0.950
La 0.277 0.984 0.645
La 0.467 0.365 0.420
La 0.469 0.792 0.160
La 0.531 0.208 0.840
La 0.533 0.635 0.580
La 0.723 0.016 0.355
La 0.752 0.404 0.050
La 0.793 0.827 0.761
La 0.950 0.577 0.301
Zn 0.119 0.791 0.455
Zn 0.881 0.209 0.545

Entry 3:
# Tb2Pr4HoTm
Computed PXRD pattern, a wavelength of 1.5418 Å. Input: the GGA-PBE geometry in Alexandria.
Peak positions follow from Bragg's law for the DFT cell and can differ from measured ones.

Principal peaks in the range 2θ from 10° to 90°, low angle first:
- 2θ = 30.23°, intensity 100
- 2θ = 34.63°, intensity 17
- 2θ = 34.81°, intensity 17
- 2θ = 35.69°, intensity 16
- 2θ = 49.91°, intensity 12
- 2θ = 50.58°, intensity 12
- 2θ = 59.35°, intensity 15
- 2θ = 59.59°, intensity 15
- 2θ = 60.77°, intensity 14
- 2θ = 62.86°, intensity 12

Atomic structure:
abc: 5.155 5.181 10.062
angles: 90.00 90.00 90.00
Fractional positions:
Tb 0.000 0.000 0.000
Tb 0.500 0.500 0.500
Pr 0.000 0.500 0.249
Pr 0.000 0.500 0.751
Pr 0.500 0.000 0.250
Pr 0.500 0.000 0.750
Ho 0.000 0.000 0.500
Tm 0.500 0.500 0.000

Entry 4:
# LiCe3C2N6
Computed PXRD pattern, a wavelength of 1.5418 Å. Input: the GGA-PBE geometry in Alexandria.
Peak positions follow from Bragg's law for the DFT cell and can differ from measured ones.

Principal peaks in the range 2θ from 10° to 90°, low angle first:
- 2θ = 24.05°, intensity 100
- 2θ = 33.27°, intensity 59
- 2θ = 35.26°, intensity 51
- 2θ = 41.47°, intensity 39
- 2θ = 49.26°, intensity 25
- 2θ = 54.17°, intensity 25
- 2θ = 56.88°, intensity 23
- 2θ = 59.45°, intensity 11
- 2θ = 60.74°, intensity 19
- 2θ = 75.08°, intensity 9

Atomic structure:
abc: 5.386 5.386 6.076
angles: 90.00 90.00 120.00
Fractional positions:
Li 0.000 0.000 0.000
Ce 0.000 0.000 0.500
Ce 0.333 0.667 0.159
Ce 0.667 0.333 0.841
C 0.333 0.667 0.751
C 0.667 0.333 0.249
N 0.187 0.374 0.770
N 0.187 0.813 0.770
N 0.374 0.187 0.230
N 0.626 0.813 0.770
N 0.813 0.187 0.230
N 0.813 0.626 0.230

Entry 5:
# Ba2GdC2O6F3
Computed PXRD pattern, a wavelength of 1.5418 Å. Input: the GGA-PBE geometry in Alexandria.
Peak positions follow from Bragg's law for the DFT cell and can differ from measured ones.

Principal peaks in the range 2θ from 10° to 90°, low angle first:
- 2θ = 17.19°, intensity 23
- 2θ = 23.50°, intensity 78
- 2θ = 25.09°, intensity 37
- 2θ = 27.28°, intensity 100
- 2θ = 30.72°, intensity 24
- 2θ = 31.31°, intensity 31
- 2θ = 31.43°, intensity 28
- 2θ = 40.31°, intensity 26
- 2θ = 45.56°, intensity 36
- 2θ = 48.07°, intensity 22

Atomic structure:
abc: 9.652 7.099 11.955
angles: 90.00 90.00 90.00
Fractional positions:
Ba 0.120 0.238 0.071
Ba 0.120 0.762 0.571
Ba 0.380 0.262 0.571
Ba 0.380 0.738 0.071
Ba 0.620 0.262 0.929
Ba 0.620 0.738 0.429
Ba 0.880 0.238 0.429
Ba 0.880 0.762 0.929
Gd 0.000 0.227 0.750
Gd 0.000 0.773 0.250
Gd 0.500 0.273 0.250
Gd 0.500 0.727 0.750
C 0.194 0.479 0.321
C 0.194 0.521 0.821
C 0.306 0.021 0.821
C 0.306 0.979 0.321
C 0.694 0.021 0.679
C 0.694 0.979 0.179
C 0.806 0.479 0.179
C 0.806 0.521 0.679
O 0.091 0.478 0.887
O 0.091 0.522 0.387
O 0.187 0.459 0.718
O 0.187 0.541 0.218
O 0.203 0.119 0.856
O 0.203 0.881 0.356
O 0.297 0.381 0.356
O 0.297 0.619 0.856
O 0.313 0.041 0.218
O 0.313 0.959 0.718
O 0.409 0.022 0.387
O 0.409 0.978 0.887
O 0.591 0.022 0.113
O 0.591 0.978 0.613
O 0.687 0.041 0.282
O 0.687 0.959 0.782
O 0.703 0.381 0.144
O 0.703 0.619 0.644
O 0.797 0.119 0.644
O 0.797 0.881 0.144
O 0.813 0.459 0.782
O 0.813 0.541 0.282
O 0.909 0.478 0.613
O 0.909 0.522 0.113
F 0.000 0.103 0.250
F 0.000 0.897 0.750
F 0.095 0.149 0.576
F 0.095 0.851 0.076
F 0.405 0.351 0.076
F 0.405 0.649 0.576
F 0.500 0.397 0.750
F 0.500 0.603 0.250
F 0.595 0.351 0.424
F 0.595 0.649 0.924
F 0.905 0.149 0.924
F 0.905 0.851 0.424

Entry 6:
# HoCdCl
Computed PXRD pattern, a wavelength of 1.5418 Å. Input: the GGA-PBE geometry in Alexandria.
Peak positions follow from Bragg's law for the DFT cell and can differ from measured ones.

Principal peaks in the range 2θ from 10° to 90°, low angle first:
- 2θ = 16.95°, intensity 27
- 2θ = 28.60°, intensity 41
- 2θ = 33.43°, intensity 100
- 2θ = 34.28°, intensity 13
- 2θ = 36.80°, intensity 20
- 2θ = 45.23°, intensity 23
- 2θ = 50.66°, intensity 22
- 2θ = 62.07°, intensity 16
- 2θ = 62.60°, intensity 13
- 2θ = 84.13°, intensity 14

Atomic structure:
abc: 15.693 3.605 6.240
angles: 90.00 90.00 90.00
Fractional positions:
Ho 0.155 0.000 0.000
Ho 0.155 0.500 0.500
Ho 0.845 0.000 0.000
Ho 0.845 0.500 0.500
Cd 0.000 0.000 0.334
Cd 0.000 0.500 0.834
Cd 0.500 0.000 0.016
Cd 0.500 0.500 0.516
Cl 0.270 0.000 0.334
Cl 0.270 0.500 0.834
Cl 0.730 0.000 0.334
Cl 0.730 0.500 0.834

Entry 7:
# Ho2NiAu
Computed PXRD pattern, a wavelength of 1.5418 Å. Input: the GGA-PBE geometry in Alexandria.
Peak positions follow from Bragg's law for the DFT cell and can differ from measured ones.

Principal peaks in the range 2θ from 10° to 90°, low angle first:
- 2θ = 32.29°, intensity 100
- 2θ = 32.46°, intensity 93
- 2θ = 34.28°, intensity 52
- 2θ = 39.89°, intensity 47
- 2θ = 40.20°, intensity 65
- 2θ = 40.52°, intensity 64
- 2θ = 40.95°, intensity 62
- 2θ = 48.86°, intensity 36
- 2θ = 53.84°, intensity 29
- 2θ = 65.06°, intensity 31

Atomic structure:
abc: 5.578 4.486 7.457
angles: 90.00 110.29 90.00
Fractional positions:
Ho 0.210 0.250 0.433
Ho 0.231 0.250 0.926
Ho 0.769 0.750 0.074
Ho 0.790 0.750 0.567
Ni 0.339 0.750 0.708
Ni 0.661 0.250 0.292
Au 0.336 0.750 0.213
Au 0.664 0.250 0.787

Entry 8:
# BaYTc2Ir
Computed PXRD pattern, a wavelength of 1.5418 Å. Input: the GGA-PBE geometry in Alexandria.
Peak positions follow from Bragg's law for the DFT cell and can differ from measured ones.

Principal peaks in the range 2θ from 10° to 90°, low angle first:
- 2θ = 17.92°, intensity 34
- 2θ = 24.75°, intensity 75
- 2θ = 25.45°, intensity 29
- 2θ = 30.72°, intensity 47
- 2θ = 34.24°, intensity 59
- 2θ = 36.30°, intensity 100
- 2θ = 44.43°, intensity 32
- 2θ = 50.75°, intensity 76
- 2θ = 52.28°, intensity 35
- 2θ = 63.99°, intensity 38

Atomic structure:
abc: 4.950 4.950 5.238
angles: 90.00 90.00 90.00
Fractional positions:
Ba 0.000 0.000 0.000
Y 0.500 0.500 0.000
Tc 0.000 0.500 0.500
Tc 0.500 0.000 0.500
Ir 0.500 0.500 0.500

Entry 9:
# K2MnI5
Computed PXRD pattern, a wavelength of 1.5418 Å. Input: the GGA-PBE geometry in Alexandria.
Peak positions follow from Bragg's law for the DFT cell and can differ from measured ones.

Principal peaks in the range 2θ from 10° to 90°, low angle first:
- 2θ = 13.78°, intensity 39
- 2θ = 18.10°, intensity 32
- 2θ = 25.11°, intensity 18
- 2θ = 27.77°, intensity 100
- 2θ = 29.71°, intensity 60
- 2θ = 35.01°, intensity 17
- 2θ = 42.54°, intensity 36
- 2θ = 47.54°, intensity 20
- 2θ = 47.88°, intensity 19
- 2θ = 51.54°, intensity 22

Atomic structure:
abc: 8.506 8.506 9.803
angles: 90.00 90.00 90.00
Fractional positions:
K 0.000 0.500 0.000
K 0.000 0.500 0.500
K 0.500 0.000 0.000
K 0.500 0.000 0.500
Mn 0.000 0.000 0.296
Mn 0.500 0.500 0.796
I 0.000 0.000 0.568
I 0.221 0.221 0.245
I 0.221 0.779 0.245
I 0.279 0.279 0.745
I 0.279 0.721 0.745
I 0.500 0.500 0.068
I 0.721 0.279 0.745
I 0.721 0.721 0.745
I 0.779 0.221 0.245
I 0.779 0.779 0.245

Entry 10:
# V2Se3Cl
Computed PXRD pattern, a wavelength of 1.5418 Å. Input: the GGA-PBE geometry in Alexandria.
Peak positions follow from Bragg's law for the DFT cell and can differ from measured ones.

Principal peaks in the range 2θ from 10° to 90°, low angle first:
- 2θ = 12.91°, intensity 79
- 2θ = 26.00°, intensity 24
- 2θ = 31.13°, intensity 58
- 2θ = 31.83°, intensity 25
- 2θ = 36.96°, intensity 100
- 2θ = 45.74°, intensity 89
- 2θ = 55.39°, intensity 40
- 2θ = 68.46°, intensity 18
- 2θ = 74.58°, intensity 20
- 2θ = 80.61°, intensity 22

Atomic structure:
abc: 3.317 3.317 27.419
angles: 90.00 90.00 120.00
Fractional positions:
V 0.000 0.000 0.000
V 0.000 0.000 0.497
V 0.333 0.667 0.250
V 0.333 0.667 0.749
Se 0.000 0.000 0.192
Se 0.000 0.000 0.309
Se 0.000 0.000 0.691
Se 0.000 0.000 0.808
Se 0.333 0.667 0.059
Se 0.333 0.667 0.941
Cl 0.333 0.667 0.442
Cl 0.333 0.667 0.554

Entry 11:
# Li2Er
Computed PXRD pattern, a wavelength of 1.5418 Å. Input: the GGA-PBE geometry in Alexandria.
Peak positions follow from Bragg's law for the DFT cell and can differ from measured ones.

Principal peaks in the range 2θ from 10° to 90°, low angle first:
- 2θ = 11.22°, intensity 100
- 2θ = 22.55°, intensity 22
- 2θ = 31.43°, intensity 30
- 2θ = 32.13°, intensity 25
- 2θ = 34.10°, intensity 9
- 2θ = 34.78°, intensity 25
- 2θ = 36.69°, intensity 15
- 2θ = 41.29°, intensity 13
- 2θ = 44.03°, intensity 8
- 2θ = 49.98°, intensity 9

Atomic structure:
abc: 5.739 3.307 8.111
angles: 90.00 103.48 90.00
Fractional positions:
Li 0.219 0.000 0.156
Li 0.281 0.500 0.844
Li 0.719 0.500 0.156
Li 0.781 0.000 0.844
Er 0.000 0.000 0.500
Er 0.500 0.500 0.500

Entry 12:
# Pm2Zn15Ir2
Computed PXRD pattern, a wavelength of 1.5418 Å. Input: the GGA-PBE geometry in Alexandria.
Peak positions follow from Bragg's law for the DFT cell and can differ from measured ones.

Principal peaks in the range 2θ from 10° to 90°, low angle first:
- 2θ = 13.18°, intensity 54
- 2θ = 19.70°, intensity 32
- 2θ = 34.47°, intensity 66
- 2θ = 35.65°, intensity 57
- 2θ = 40.01°, intensity 100
- 2θ = 40.28°, intensity 61
- 2θ = 41.06°, intensity 65
- 2θ = 41.31°, intensity 49
- 2θ = 45.22°, intensity 45
- 2θ = 74.28°, intensity 35

Atomic structure:
abc: 6.812 6.812 6.812
angles: 82.85 82.85 82.85
Fractional positions:
Pm 0.166 0.166 0.166
Pm 0.834 0.834 0.834
Zn 0.000 0.500 0.500
Zn 0.150 0.150 0.650
Zn 0.150 0.650 0.150
Zn 0.218 0.500 0.782
Zn 0.218 0.782 0.500
Zn 0.350 0.850 0.850
Zn 0.500 0.000 0.500
Zn 0.500 0.218 0.782
Zn 0.500 0.500 0.000
Zn 0.500 0.782 0.218
Zn 0.650 0.150 0.150
Zn 0.782 0.218 0.500
Zn 0.782 0.500 0.218
Zn 0.850 0.350 0.850
Zn 0.850 0.850 0.350
Ir 0.393 0.393 0.393
Ir 0.607 0.607 0.607